The following is a calculated PXRD pattern of Nd2PuO6. It was derived from a DFT-relaxed cell (PBE, Alexandria), using Cu Kα (λ = 1.5418 Å).
Lines closer than 0.1° are merged.

Principal peaks in the range 2θ = 10–90°, sorted by position:
2θ (°)	I_rel	index
27.78	100	1 1 0
28.60	93	0 1 3
32.75	43	1 0 3
46.80	66	1 2 3
55.00	31	2 1 3
56.42	28	1 1 6

Structural model:
Cell lengths 3.952, 5.512, 11.359 Å; angles 90.00, 90.00, 90.00 degrees
Space group Immm (No. 71)
Asymmetric unit:
Nd1 0.000 0.000 0.164
Pu1 0.000 0.000 0.500
O1 0.000 0.237 0.349
O2 0.000 0.277 0.000